Computed powder X-ray diffraction pattern of K3PbAu3 for Cu Kα, from a crystal structure in Alexandria, relaxed with PBE.
Lines closer than 0.1° are merged.

Most intense lines, 10° ≤ 2θ ≤ 80°, by angle:
2theta  Rel. int.
14.47  67
19.87  100
22.44  26
22.84  23
28.44  37
28.73  29
31.94  35
33.85  28
35.04  24
35.48  67
36.98  44
43.71  32

Cell and atoms:
Cell lengths 6.5878, 6.5878, 16.4373 Å; angles 109.31, 109.31, 43.31 degrees
Element x y z (fractional)
1 K 0.0252 0.0252 0.2747
2 K 0.1765 0.1765 0.5732
3 K 0.3615 0.3615 0.8684
4 K 0.6385 0.6385 0.1316
5 K 0.8235 0.8235 0.4268
6 K 0.9748 0.9748 0.7253
7 Pb 0.3251 0.3251 0.0907
8 Pb 0.6749 0.6749 0.9093
9 Au 0.0870 0.0870 0.9627
10 Au 0.3237 0.3237 0.2690
11 Au 0.4702 0.4702 0.5773
12 Au 0.5298 0.5298 0.4227
13 Au 0.6763 0.6763 0.7310
14 Au 0.9130 0.9130 0.0373

---

Computed powder X-ray diffraction pattern of HgPdAu for Cu Kα, from a crystal structure in Alexandria, relaxed with PBE.
Lines closer than 0.1° are merged.

Most intense lines, 10° ≤ 2θ ≤ 80°, by angle:
2theta  Rel. int.
19.19  28
26.07  46
28.43  37
29.58  34
38.96  100
39.83  94
41.49  84
49.66  34
53.63  20
70.00  36
73.41  32
75.14  30

Cell and atoms:
Cell lengths 5.5370, 5.5370, 5.5370 Å; angles 113.89, 110.92, 103.77 degrees
Element x y z (fractional)
1 Hg 0.2494 0.2500 0.4994
2 Hg 0.7506 0.7500 0.5006
3 Pd 0.7495 0.2495 0.5000
4 Pd 0.7495 0.7495 0.0000
5 Au 0.2495 0.7492 0.0003
6 Au 0.7489 0.2492 0.9997

---

Computed powder X-ray diffraction pattern of LuZrNp for Cu Kα, from a crystal structure in Alexandria, relaxed with PBE.
Lines closer than 0.1° are merged.

Most intense lines, 10° ≤ 2θ ≤ 80°, by angle:
2theta  Rel. int.
19.60  22
28.62  5
34.28  100
34.92  97
39.79  4
45.24  9
49.75  36
59.24  7
61.40  19
61.81  38
70.27  25
72.24  12

Cell and atoms:
Cell lengths 5.2312, 5.2312, 3.1193 Å; angles 90.00, 90.00, 120.00 degrees
Element x y z (fractional)
1 Lu 0.0000 0.0000 0.0000
2 Zr 0.3333 0.6667 0.5000
3 Np 0.6667 0.3333 0.5000

---

Computed powder X-ray diffraction pattern of ZrMn5Tc for Cu Kα, from a crystal structure in Alexandria, relaxed with PBE.
Lines closer than 0.1° are merged.

Most intense lines, 10° ≤ 2θ ≤ 80°, by angle:
2theta  Rel. int.
35.01  24
37.90  39
38.11  59
40.01  100
40.29  73
43.15  21
45.43  52
46.60  26
47.34  63
48.63  47
69.91  31
74.30  23

Cell and atoms:
Cell lengths 7.9518, 4.7484, 9.8910 Å; angles 90.00, 90.00, 90.00 degrees
Element x y z (fractional)
1 Zr 0.2481 0.2500 0.0609
2 Zr 0.2519 0.7500 0.5609
3 Zr 0.7481 0.2500 0.4391
4 Zr 0.7519 0.7500 0.9391
5 Mn 0.0539 0.7500 0.0888
6 Mn 0.0739 0.0091 0.3095
7 Mn 0.0739 0.4909 0.3095
8 Mn 0.0857 0.2500 0.5254
9 Mn 0.1907 0.2500 0.7532
10 Mn 0.3093 0.7500 0.2532
11 Mn 0.4143 0.7500 0.0254
12 Mn 0.4261 0.5091 0.8095
13 Mn 0.4261 0.9909 0.8095
14 Mn 0.4461 0.2500 0.5888
15 Mn 0.5539 0.7500 0.4112
16 Mn 0.5739 0.0091 0.1905
17 Mn 0.5739 0.4909 0.1905
18 Mn 0.5857 0.2500 0.9746
19 Mn 0.6907 0.2500 0.7468
20 Mn 0.8093 0.7500 0.2468
21 Mn 0.9143 0.7500 0.4746
22 Mn 0.9261 0.5091 0.6905
23 Mn 0.9261 0.9909 0.6905
24 Mn 0.9461 0.2500 0.9112
25 Tc 0.1359 0.7500 0.8518
26 Tc 0.3641 0.2500 0.3518
27 Tc 0.6359 0.7500 0.6482
28 Tc 0.8641 0.2500 0.1482